The following is a computed XRD peak list of CaLa2Mn2Fe2O12. It was derived from a crystal structure in Alexandria, relaxed with GGA+U, using Cu Kα (weighted mean of Kα1 and Kα2).
Lines closer than 0.1° are merged.

Cell and atoms:
Lattice parameters (Å, degrees): 5.449 5.480 7.695 89.71 89.98 89.86
Atoms (fractional coordinates):
Ca 0.000 0.000 0.000
La 0.502 0.497 0.002
La 0.960 0.991 0.497
Mn 0.477 0.998 0.251
Mn 0.984 0.493 0.747
Fe 0.474 0.005 0.743
Fe 0.987 0.493 0.259
O 0.186 0.783 0.733
O 0.198 0.784 0.263
O 0.241 0.274 0.798
O 0.246 0.259 0.204
O 0.479 0.048 0.494
O 0.482 0.941 0.001
O 0.714 0.740 0.272
O 0.725 0.733 0.724
O 0.753 0.220 0.215
O 0.761 0.229 0.786
O 0.962 0.565 0.995
O 0.991 0.435 0.506

Most intense lines, 2θ from 5° to 70°, in order of falling intensity:
| Position (°2θ) | I/Imax |
| --- | --- |
| 32.86 | 100 |
| 32.73 | 65 |
| 19.97 | 53 |
| 19.89 | 53 |
| 32.93 | 33 |
| 58.76 | 26 |
| 46.98 | 25 |
| 58.64 | 25 |
| 38.67 | 25 |
| 47.25 | 24 |
| 47.10 | 24 |
| 38.78 | 19 |

---

The following is a computed XRD peak list of CaLaFeO4. It was derived from a crystal structure in Alexandria, relaxed with GGA+U, using Cu Kα (weighted mean of Kα1 and Kα2).
Lines closer than 0.1° are merged.

Cell and atoms:
Lattice parameters (Å, degrees): 6.804 6.804 5.394 90.00 90.00 132.94
Atoms (fractional coordinates):
Ca 0.103 0.897 0.750
Ca 0.897 0.103 0.250
La 0.391 0.609 0.750
La 0.609 0.391 0.250
Fe 0.247 0.753 0.250
Fe 0.753 0.247 0.750
O 0.026 0.538 0.974
O 0.081 0.919 0.250
O 0.422 0.578 0.250
O 0.462 0.974 0.526
O 0.538 0.026 0.026
O 0.578 0.422 0.750
O 0.919 0.081 0.750
O 0.974 0.462 0.474

Most intense lines, 2θ from 5° to 70°, in order of falling intensity:
| Position (°2θ) | I/Imax |
| --- | --- |
| 31.77 | 100 |
| 47.51 | 41 |
| 32.98 | 39 |
| 33.22 | 39 |
| 21.78 | 34 |
| 17.81 | 29 |
| 58.45 | 22 |
| 43.29 | 21 |
| 66.38 | 19 |
| 58.13 | 19 |
| 43.52 | 16 |
| 39.87 | 15 |

---

The following is a computed XRD peak list of CaLaTaFeO6. It was derived from a crystal structure in Alexandria, relaxed with GGA+U, using Cu Kα (weighted mean of Kα1 and Kα2).
Lines closer than 0.1° are merged.

Cell and atoms:
Lattice parameters (Å, degrees): 5.620 5.820 9.634 90.00 124.94 90.00
Atoms (fractional coordinates):
Ca 0.000 0.194 0.000
Ca 0.000 0.806 0.500
La 0.533 0.305 0.505
La 0.533 0.695 0.005
Ta 0.268 0.245 0.753
Ta 0.268 0.755 0.253
Fe 0.766 0.250 0.252
Fe 0.766 0.750 0.752
O 0.030 0.466 0.199
O 0.030 0.534 0.699
O 0.120 0.215 0.508
O 0.120 0.785 0.008
O 0.409 0.279 0.996
O 0.409 0.721 0.496
O 0.507 0.038 0.304
O 0.507 0.962 0.804
O 0.605 0.435 0.801
O 0.605 0.565 0.301
O 0.930 0.058 0.703
O 0.930 0.942 0.203

Most intense lines, 2θ from 5° to 70°, in order of falling intensity:
| Position (°2θ) | I/Imax |
| --- | --- |
| 31.83 | 100 |
| 31.52 | 68 |
| 18.94 | 40 |
| 44.84 | 32 |
| 30.73 | 32 |
| 56.33 | 30 |
| 19.51 | 22 |
| 45.97 | 18 |
| 19.26 | 16 |
| 56.92 | 15 |
| 66.53 | 13 |
| 37.18 | 13 |